[1]
For U2Mo2C3, the GGA-PBE geometry in the Materials Project gives the theoretical powder diffractogram in this record (Cu Kα, 1.54184 Å).

Cell and atoms:
```
data_U2Mo2C3
_cell_length_a 11.9105
_cell_length_b 3.1603
_cell_length_c 5.5777
_cell_angle_alpha 90.00
_cell_angle_beta 111.87
_cell_angle_gamma 90.00
_symmetry_space_group_name_H-M 'C 1 2/m 1'
_symmetry_Int_Tables_number 12
_symmetry_space_group_name_Hall '-C 2y'
loop_
_atom_site_label
_atom_site_type_symbol
_atom_site_fract_x
_atom_site_fract_y
_atom_site_fract_z
U1 U 0.1026 0.0000 0.3086
Mo1 Mo 0.1542 0.5000 0.8363
C1 C 0.0000 0.5000 0.5000
C2 C 0.2500 0.0000 0.7418
```

Most intense lines, 10 to 80 degrees two-theta, sorted by position:
- 2θ = 27.65°, 3.226 Å, rel. 32, hkl 2 0 1
- 2θ = 29.39°, 3.039 Å, rel. 27, hkl 1 1 0
- 2θ = 30.47°, 2.934 Å, rel. 33, hkl 4 0 -1
- 2θ = 32.27°, 2.774 Å, rel. 44, hkl 2 0 -2
- 2θ = 32.40°, 2.763 Å, rel. 46, hkl 4 0 0
- 2θ = 34.66°, 2.588 Å, rel. 30, hkl 0 0 2
- 2θ = 35.76°, 2.511 Å, rel. 87, hkl 1 1 1
- 2θ = 37.30°, 2.411 Å, rel. 100, hkl 3 1 -1
- 2θ = 50.37°, 1.811 Å, rel. 26, hkl 5 1 0
- 2θ = 68.35°, 1.372 Å, rel. 23, hkl 4 2 0


[2]
For Al20Co3B6, the GGA-PBE geometry in the Materials Project gives the theoretical powder diffractogram in this record (Cu Kα, 1.54184 Å).

Cell and atoms:
```
data_Al20Co3B6
_cell_length_a 11.3573
_cell_length_b 11.3573
_cell_length_c 11.3573
_cell_angle_alpha 90.00
_cell_angle_beta 90.00
_cell_angle_gamma 90.00
_symmetry_space_group_name_H-M 'F m -3 m'
_symmetry_Int_Tables_number 225
_symmetry_space_group_name_Hall '-F 4 2 3'
loop_
_atom_site_label
_atom_site_type_symbol
_atom_site_fract_x
_atom_site_fract_y
_atom_site_fract_z
Al1 Al 0.0000 0.1679 0.1679
Al2 Al 0.1233 0.1233 0.3767
Co1 Co 0.0000 0.0000 0.0000
Co2 Co 0.2500 0.2500 0.2500
B1 B 0.0000 0.0000 0.2830
```

Most intense lines, 10 to 80 degrees two-theta, sorted by position:
- 2θ = 22.14°, 4.015 Å, rel. 17, hkl 2 2 0
- 2θ = 35.34°, 2.540 Å, rel. 24, hkl 4 2 0
- 2θ = 38.85°, 2.318 Å, rel. 62, hkl 4 2 2
- 2θ = 41.31°, 2.186 Å, rel. 100, hkl 3 3 3
- 2θ = 45.16°, 2.008 Å, rel. 41, hkl 4 4 0
- 2θ = 47.35°, 1.920 Å, rel. 12, hkl 5 3 1
- 2θ = 50.85°, 1.796 Å, rel. 14, hkl 6 2 0
- 2θ = 53.52°, 1.712 Å, rel. 11, hkl 6 2 2
- 2θ = 70.34°, 1.338 Å, rel. 31, hkl 6 6 0
- 2θ = 72.01°, 1.311 Å, rel. 16, hkl 7 5 1